For Ca2MoO5, a crystal structure in Alexandria, relaxed with GGA+U gives the theoretical X-ray diffraction stick pattern in this record (Cu Kα (λ = 1.5418 Å)).

Largest 6 diffraction maxima, in order of rising 2θ, 2θ from 10° to 90°:
2θ = 10.9°, rel. 91
2θ = 25.9°, rel. 100
2θ = 31.7°, rel. 18
2θ = 32.3°, rel. 68
2θ = 46.6°, rel. 18
2θ = 47.9°, rel. 19

Cell and atoms:
```
Ca2MoO5
1.0
-8.0874 2.5734 2.8200
8.0874 -2.5734 2.8200
8.0874 2.5734 -2.8200
Ca Mo O
4 2 10
direct
0.0651 0.1522 0.2173
0.0651 0.3478 0.4129
0.9349 0.6522 0.5871
0.9349 0.8478 0.7827
0.5336 0.0336 0.5000
0.5336 0.5336 0.0000
0.0295 0.0095 0.5200
0.0730 0.2543 0.7292
0.0730 0.8439 0.3187
0.4677 0.0126 0.2533
0.4677 0.7144 0.9551
0.4896 0.5095 0.4800
0.5251 0.3439 0.2708
0.5251 0.7543 0.6813
0.7593 0.2144 0.7467
0.7593 0.5126 0.0449
```